Record 1
Structure and theoretical powder diffraction line list of Tc3Se4I (a crystal structure in Alexandria, relaxed with PBE; copper Kα).

Cell and atoms:
```
Tc3Se4I
1.0
6.658 0.000 0.000
0.000 12.138 0.000
-4.437 0.000 10.941
Tc Se I
12 16 4
Direct
0.028 0.061 0.151
0.028 0.439 0.651
0.035 0.141 0.945
0.035 0.359 0.445
0.298 0.521 0.556
0.298 0.979 0.056
0.702 0.021 0.944
0.702 0.479 0.444
0.965 0.641 0.555
0.965 0.859 0.055
0.972 0.561 0.349
0.972 0.939 0.849
0.227 0.711 0.465
0.227 0.789 0.965
0.278 0.596 0.751
0.278 0.904 0.251
0.280 0.060 0.847
0.280 0.440 0.347
0.345 0.170 0.146
0.345 0.330 0.646
0.655 0.670 0.354
0.655 0.830 0.854
0.720 0.560 0.653
0.720 0.940 0.153
0.722 0.096 0.749
0.722 0.404 0.249
0.773 0.211 0.035
0.773 0.289 0.535
0.097 0.138 0.388
0.097 0.362 0.888
0.903 0.638 0.112
0.903 0.862 0.612
```

Most intense lines, 10° ≤ 2θ ≤ 90°, low angle first:
- 2θ = 10.89°, I 1000
- 2θ = 14.36°, I 220
- 2θ = 15.42°, I 111
- 2θ = 27.38°, I 69
- 2θ = 30.75°, I 79
- 2θ = 33.60°, I 76
- 2θ = 39.91°, I 66
- 2θ = 41.07°, I 148
- 2θ = 41.50°, I 70
- 2θ = 44.01°, I 107
- 2θ = 44.79°, I 83
- 2θ = 46.64°, I 84

Record 2
Structure and theoretical powder diffraction line list of TcSe4I (a crystal structure in Alexandria, relaxed with PBE; copper Kα).

Cell and atoms:
```
TcSe4I
1.0
4.098 -7.509 0.000
4.098 7.509 0.000
-2.774 0.000 6.153
Tc Se I
2 8 2
Direct
0.000 0.000 0.250
0.000 0.000 0.750
0.068 0.810 0.968
0.163 0.289 0.612
0.190 0.932 0.532
0.289 0.163 0.112
0.711 0.837 0.888
0.810 0.068 0.468
0.837 0.711 0.388
0.932 0.190 0.032
0.373 0.627 0.250
0.627 0.373 0.750
```

Most intense lines, 10° ≤ 2θ ≤ 90°, low angle first:
- 2θ = 11.78°, I 1000
- 2θ = 13.24°, I 719
- 2θ = 23.82°, I 169
- 2θ = 27.08°, I 409
- 2θ = 31.98°, I 282
- 2θ = 33.19°, I 179
- 2θ = 33.34°, I 172
- 2θ = 34.93°, I 314
- 2θ = 37.49°, I 182
- 2θ = 40.24°, I 808
- 2θ = 54.38°, I 170
- 2θ = 54.72°, I 226

Record 3
Structure and theoretical powder diffraction line list of Te4Se4I3 (a crystal structure in Alexandria, relaxed with PBE; copper Kα).

Cell and atoms:
```
Te4Se4I3
1.0
6.833 0.000 0.000
1.505 7.035 0.000
0.147 1.752 10.370
Te Se I
4 4 3
Direct
0.200 0.363 0.282
0.290 0.595 0.507
0.710 0.405 0.493
0.800 0.637 0.718
0.285 0.463 0.755
0.353 0.655 0.198
0.647 0.345 0.802
0.715 0.537 0.245
0.000 0.000 0.500
0.205 0.193 0.058
0.795 0.807 0.942
```

Most intense lines, 10° ≤ 2θ ≤ 90°, low angle first:
- 2θ = 12.76°, I 1000
- 2θ = 15.93°, I 386
- 2θ = 17.61°, I 875
- 2θ = 19.59°, I 334
- 2θ = 20.30°, I 423
- 2θ = 23.02°, I 387
- 2θ = 26.69°, I 533
- 2θ = 28.95°, I 729
- 2θ = 29.04°, I 480
- 2θ = 32.09°, I 608
- 2θ = 34.87°, I 381
- 2θ = 45.68°, I 381

Record 4
Structure and theoretical powder diffraction line list of ThSe2I (a crystal structure in Alexandria, relaxed with PBE; copper Kα).

Cell and atoms:
```
ThSe2I
1.0
2.146 1.239 10.535
-2.146 1.239 10.535
0.000 -2.479 10.535
Th Se I
1 2 1
Direct
0.000 0.000 0.000
0.285 0.285 0.285
0.715 0.715 0.715
0.500 0.500 0.500
```

Most intense lines, 10° ≤ 2θ ≤ 90°, low angle first:
- 2θ = 16.83°, I 445
- 2θ = 24.60°, I 239
- 2θ = 26.50°, I 1000
- 2θ = 31.16°, I 213
- 2θ = 33.09°, I 286
- 2θ = 37.34°, I 384
- 2θ = 42.10°, I 367
- 2θ = 45.64°, I 215
- 2θ = 47.10°, I 265
- 2θ = 50.43°, I 172
- 2θ = 67.73°, I 143
- 2θ = 69.12°, I 142